(1)
Structure and simulated X-ray powder pattern of KAl2P2H8O12F (the GGA-PBE geometry in the Materials Project; Cu Ka).
Intensities are scaled so that the largest is 100.

Atomic structure:
```
data_KAl2P2H8O12F
_symmetry_space_group_name_H-M 'P b a 2'
_symmetry_Int_Tables_number 32
_symmetry_space_group_name_Hall 'P 2 -2ab'
_cell_length_a 9.4369
_cell_length_b 9.7941
_cell_length_c 5.6289
_cell_angle_alpha 90.00
_cell_angle_beta 90.00
_cell_angle_gamma 90.00
loop_
_atom_site_label
_atom_site_fract_x
_atom_site_fract_y
_atom_site_fract_z
_atom_site_occupancy
K1 0.0000 0.0000 0.0000 1
Al1 0.1398 0.3886 0.0426 1
P1 0.1479 0.6746 0.7930 1
H1 0.0135 0.7263 0.3744 1
H2 0.1502 0.2263 0.3988 1
H3 0.2159 0.8815 0.4298 1
H4 0.2273 0.5371 0.4019 1
O1 0.0152 0.3201 0.8203 1
O2 0.0735 0.2495 0.2823 1
O3 0.1852 0.7052 0.5292 1
O4 0.2076 0.5320 0.8586 1
O5 0.2101 0.7831 0.9619 1
O6 0.2361 0.9558 0.3143 1
F1 0.0000 0.5000 0.1756 1
```

Principal peaks in the range 15° ≤ 2θ ≤ 90°, sorted by position:
2θ = 15.7°, I = 100, hkl 0 0 1; 2θ = 24.1°, I = 27, hkl 0 2 1; 2θ = 25.9°, I = 54, hkl 1 2 1; 2θ = 26.3°, I = 64, hkl 2 1 1; 2θ = 28.9°, I = 31, hkl 1 3 0; 2θ = 29.8°, I = 19, hkl 3 1 0; 2θ = 30.7°, I = 12, hkl 2 2 1; 2θ = 33.1°, I = 29, hkl 1 3 1; 2θ = 33.9°, I = 26, hkl 3 1 1; 2θ = 39.3°, I = 17, hkl 4 1 0; 2θ = 41.7°, I = 34, hkl 2 2 2; 2θ = 46.8°, I = 12, hkl 2 3 2


(2)
Structure and simulated X-ray powder pattern of Li3Al3P3H2O14F (the GGA-PBE geometry in the Materials Project; Cu Ka).
Intensities are scaled so that the largest is 100.

Atomic structure:
```
data_Li3Al3P3H2O14F
_symmetry_space_group_name_H-M 'P 1'
_symmetry_Int_Tables_number 1
_symmetry_space_group_name_Hall 'P 1'
_cell_length_a 5.0885
_cell_length_b 7.1370
_cell_length_c 14.2133
_cell_angle_alpha 90.62
_cell_angle_beta 93.25
_cell_angle_gamma 106.84
loop_
_atom_site_label
_atom_site_fract_x
_atom_site_fract_y
_atom_site_fract_z
_atom_site_occupancy
Li1 0.0000 0.0000 0.0000 1
Li2 0.1379 0.6312 0.0739 1
Li3 0.3315 0.3284 0.3302 1
Li4 0.4906 0.9791 0.3999 1
Li5 0.6725 0.6707 0.6679 1
Li6 0.8177 0.2986 0.7402 1
Al1 0.2382 0.9858 0.2003 1
Al2 0.2563 0.9912 0.6987 1
Al3 0.5812 0.3228 0.0317 1
Al4 0.5839 0.3225 0.5330 1
Al5 0.9093 0.6530 0.3661 1
Al6 0.9169 0.6530 0.8680 1
P1 0.1837 0.5966 0.5715 1
P2 0.3143 0.3777 0.8265 1
P3 0.5174 0.9309 0.9030 1
P4 0.6361 0.7123 0.1583 1
P5 0.8429 0.2648 0.2360 1
P6 0.9810 0.0452 0.4943 1
H1 0.0066 0.4028 0.9614 1
H2 0.3291 0.7365 0.2920 1
H3 0.4850 0.5695 0.4382 1
H4 0.6808 0.0732 0.6275 1
O1 0.0172 0.1209 0.2508 1
O2 0.1367 0.5182 0.8112 1
O3 0.1658 0.2002 0.7607 1
O4 0.1853 0.6502 0.4657 1
O5 0.2087 0.8195 0.3047 1
O6 0.2176 0.8398 0.9327 1
O7 0.2805 0.1335 0.4648 1
O8 0.3138 0.3220 0.9321 1
O9 0.3364 0.7745 0.6369 1
O10 0.3535 0.4510 0.5880 1
O11 0.4547 0.8506 0.1432 1
O12 0.4893 0.5344 0.0925 1
O13 0.5141 0.9909 0.7994 1
O14 0.5440 0.1704 0.2660 1
O15 0.5570 0.1557 0.6384 1
O16 0.6080 0.4868 0.4258 1
O17 0.6128 0.4733 0.7967 1
O18 0.6409 0.6595 0.2639 1
O19 0.6647 0.1053 0.9714 1
O20 0.6913 0.7870 0.9178 1
O21 0.8118 0.1911 0.4779 1
O22 0.8284 0.8685 0.4283 1
O23 0.8373 0.3259 0.1330 1
O24 0.8839 0.4864 0.9718 1
O25 0.8838 0.5114 0.6005 1
O26 0.9338 0.8101 0.1278 1
O27 0.9800 0.9894 0.6000 1
O28 0.9927 0.4387 0.3041 1
F1 0.2903 0.1466 0.0919 1
F2 0.9671 0.8118 0.7588 1
```

Principal peaks in the range 15° ≤ 2θ ≤ 90°, sorted by position:
2θ = 18.8°, I = 28, hkl 0 0 3; 2θ = 18.9°, I = 49, hkl 1 0 -1; 2θ = 26.5°, I = 39, hkl 1 1 1; 2θ = 27.0°, I = 32, hkl 0 2 1; 2θ = 27.4°, I = 33, hkl 1 -1 3; 2θ = 27.7°, I = 46, hkl 1 1 -2; 2θ = 28.0°, I = 100, hkl 0 1 -4; 2θ = 29.9°, I = 72, hkl -1 2 2; 2θ = 35.6°, I = 20, hkl -2 1 1; 2θ = 37.1°, I = 25, hkl 1 1 4; 2θ = 46.1°, I = 21, hkl 2 1 -3; 2θ = 57.9°, I = 21, hkl 2 -4 2


(3)
Structure and simulated X-ray powder pattern of MgAlH4O2F5 (the GGA-PBE geometry in the Materials Project; Cu Ka).
Intensities are scaled so that the largest is 100.

Atomic structure:
```
data_MgAlH4O2F5
_symmetry_space_group_name_H-M 'I m m a'
_symmetry_Int_Tables_number 74
_symmetry_space_group_name_Hall '-I 2b 2'
_cell_length_a 7.1967
_cell_length_b 10.4151
_cell_length_c 6.6270
_cell_angle_alpha 90.00
_cell_angle_beta 90.00
_cell_angle_gamma 90.00
loop_
_atom_site_label
_atom_site_fract_x
_atom_site_fract_y
_atom_site_fract_z
_atom_site_occupancy
Mg1 0.0000 0.0000 0.0000 1
Al1 0.2500 0.2500 0.2500 1
H1 0.1081 0.0964 0.6245 1
O1 0.0000 0.0769 0.7095 1
F1 0.0000 0.2500 0.3209 1
F2 0.2062 0.1260 0.0621 1
```

Principal peaks in the range 15° ≤ 2θ ≤ 90°, sorted by position:
2θ = 15.9°, I = 100, hkl 0 1 1; 2θ = 18.2°, I = 17, hkl 1 0 1; 2θ = 25.0°, I = 21, hkl 1 2 1; 2θ = 29.0°, I = 35, hkl 0 3 1; 2θ = 29.5°, I = 33, hkl 2 1 1; 2θ = 30.2°, I = 23, hkl 2 2 0; 2θ = 32.0°, I = 16, hkl 0 2 2; 2θ = 39.6°, I = 15, hkl 1 3 2; 2θ = 42.8°, I = 33, hkl 1 0 3; 2θ = 48.9°, I = 19, hkl 0 3 3; 2θ = 50.7°, I = 15, hkl 4 0 0; 2θ = 51.3°, I = 31, hkl 2 4 2